Theoretical powder XRD pattern of Dy3Ga2Ag for Cu Ka, from a cell relaxed with PBE.

Top 12 peaks for 2θ = 10–90°, in order of rising 2θ:
two_theta  I_rel  hkl
23.36  6  0 0 3
25.53  10  1 0 0
34.88  100  1 0 3
36.42  45  1 1 0
47.77  10  0 0 6
52.45  16  2 0 0
61.52  19  1 1 6
64.55  33  2 1 3
73.65  11  2 0 6
80.52  9  1 0 9
87.75  7  3 0 3
88.65  7  3 1 0

Structural model:
abc: 3.489 3.489 11.424
angles: 90.00 90.00 90.00
Element x y z (fractional)
Dy 0.000 0.000 0.000
Dy 0.000 0.000 0.329
Dy 0.000 0.000 0.671
Ga 0.500 0.500 0.169
Ga 0.500 0.500 0.831
Ag 0.500 0.500 0.500

Theoretical powder XRD pattern of Nb2V2W7 for Cu Ka, from a cell relaxed with PBE.

Top 12 peaks for 2θ = 10–90°, in order of rising 2θ:
two_theta  I_rel  hkl
19.03  35  1 0 0
30.94  16  0 2 0
33.20  27  -1 1 2
36.14  41  -1 2 1
37.85  16  -2 1 1
38.86  81  0 2 -2
39.24  100  1 2 0
39.45  33  2 0 -2
39.97  76  1 0 2
40.99  20  1 0 -3
43.72  23  -1 2 2
45.87  27  2 -2 0

Structural model:
abc: 5.003 5.899 6.690
angles: 96.68 109.16 96.55
Element x y z (fractional)
Nb 0.076 0.195 0.208
Nb 0.924 0.805 0.792
V 0.010 0.268 0.744
V 0.990 0.732 0.256
W 0.316 0.592 0.590
W 0.325 0.575 0.087
W 0.343 0.075 0.601
W 0.500 0.000 0.000
W 0.657 0.925 0.399
W 0.675 0.425 0.913
W 0.684 0.408 0.410

Theoretical powder XRD pattern of LiPr3Pb5 for Cu Ka, from a cell relaxed with PBE.

Top 12 peaks for 2θ = 10–90°, in order of rising 2θ:
two_theta  I_rel  hkl
27.30  15  0 0 2
28.26  26  2 1 0
29.36  16  1 0 2
31.47  80  2 1 1
32.14  85  3 0 0
33.12  100  1 1 2
46.82  30  2 2 2
49.56  19  3 2 1
50.94  21  2 1 3
51.96  16  4 0 2
63.62  17  5 1 1
66.35  22  3 0 4

Structural model:
abc: 9.648 9.648 6.533
angles: 90.00 90.00 120.00
Element x y z (fractional)
Li 0.000 0.000 0.000
Li 0.000 0.000 0.500
Pr 0.000 0.381 0.250
Pr 0.000 0.619 0.750
Pr 0.381 0.000 0.250
Pr 0.381 0.381 0.750
Pr 0.619 0.000 0.750
Pr 0.619 0.619 0.250
Pb 0.000 0.268 0.750
Pb 0.000 0.732 0.250
Pb 0.268 0.000 0.750
Pb 0.268 0.268 0.250
Pb 0.333 0.667 0.000
Pb 0.333 0.667 0.500
Pb 0.667 0.333 0.000
Pb 0.667 0.333 0.500
Pb 0.732 0.000 0.250
Pb 0.732 0.732 0.750